Record 1
Starting from DFT lattice parameters and positions (GGA+U), the XRD peak list of Na2LiNi3O6 was simulated for copper Kα.

Principal peaks in the range 10 to 90 degrees two-theta, by angle:
2θ 17.26, I = 100.0
2θ 35.05, I = 22.2
2θ 36.76, I = 23.7
2θ 41.76, I = 79.1
2θ 43.48, I = 33.1
2θ 60.25, I = 19.9

```
Na2LiNi3O6
1.0
6.5472 -1.5106 0.0000
6.5472 1.5106 0.0000
-1.8689 0.0000 5.9237
Na Li Ni O
2 1 3 6
Cartesian
1.5389 0.0000 1.9649
9.6867 0.0000 3.9588
6.5472 0.0000 0.0000
0.6171 0.0000 4.9585
5.6128 0.0000 2.9619
10.6085 0.0000 0.9652
-1.1912 0.0000 4.4102
2.4442 0.0000 5.5510
3.8207 0.0000 2.3198
7.4049 0.0000 3.6039
8.7813 0.0000 0.3728
12.4167 0.0000 1.5135
```

Record 2
Starting from DFT lattice parameters and positions (GGA+U), the XRD peak list of V4Zn3P6O24 was simulated for copper Kα.

Principal peaks in the range 10 to 90 degrees two-theta, by angle:
2θ 20.31, I = 29.7
2θ 29.73, I = 95.3
2θ 29.87, I = 100.0
2θ 30.66, I = 30.8
2θ 32.92, I = 31.3
2θ 33.83, I = 33.0

```
V4Zn3P6O24
1.0
6.4429 0.0000 0.0000
-1.5381 7.8399 0.0000
-3.0132 -3.2140 8.4258
V Zn P O
4 3 6 24
Cartesian
-0.1141 1.6123 0.1923
-0.8241 5.5492 5.1745
2.7157 -0.9234 3.2513
2.0057 3.0135 8.2335
-2.2757 2.3129 4.2129
-1.0407 -0.1081 6.6842
2.9323 4.7340 1.7416
-0.5861 -0.3440 2.8128
-0.3400 4.2003 2.2550
-1.1789 2.9312 7.3056
3.0705 1.6947 1.1202
2.2316 0.4256 6.1708
2.4777 4.9698 5.6131
-1.4215 4.8481 1.3380
-0.1314 -0.1627 1.3128
-1.0030 0.9396 3.4707
-1.2566 -1.8350 5.5859
0.0564 2.8359 1.7330
-0.9347 4.0792 3.7011
-2.4909 3.0174 8.0873
-1.2501 1.8111 6.2221
0.6395 -1.0204 3.5344
1.9440 2.0179 0.0637
-0.7943 4.2311 6.5845
0.9359 5.1315 2.2794
0.9557 -0.5056 6.1464
2.6859 0.3948 1.8413
-0.0524 2.6080 8.3621
1.2521 5.6463 4.8914
3.1417 2.8148 2.2037
4.3825 1.6085 0.3385
2.8263 0.5467 4.7247
1.8352 1.7899 6.6928
3.1481 6.4609 2.8399
2.8946 3.6862 4.9551
2.0230 4.7885 7.1130
3.3131 -0.2223 7.0878
```

Record 3
Starting from DFT lattice parameters and positions (GGA+U), the XRD peak list of KCoPCO7 was simulated for copper Kα.

Principal peaks in the range 10 to 90 degrees two-theta, by angle:
2θ 17.10, I = 88.8
2θ 22.30, I = 100.0
2θ 24.25, I = 93.8
2θ 29.05, I = 52.2
2θ 29.36, I = 89.7
2θ 33.97, I = 47.3

```
KCoPCO7
1.0
5.2813 0.0000 0.0000
0.0000 6.0836 0.0000
-0.2986 0.0000 9.9207
K Co P C O
2 2 2 2 14
Cartesian
1.2134 0.0000 2.6020
3.7692 3.0418 7.3187
0.9383 0.8030 8.4291
4.0443 3.8448 1.4917
1.1912 3.8761 9.3606
3.7914 0.8344 0.5601
1.2967 0.9348 6.0917
3.6860 3.9766 3.8290
0.1199 0.8758 6.6847
0.5496 3.8980 0.6379
0.9320 5.0348 8.3316
0.9672 2.6898 8.3584
1.5016 1.1014 4.8940
2.3039 0.8376 0.1339
2.2370 0.8186 7.0235
2.7456 3.8604 2.8972
2.6787 3.8794 9.7868
3.4811 4.1432 5.0268
4.0155 5.7316 1.5623
4.0506 1.9930 1.5891
4.4330 0.8562 9.2828
4.8627 3.9176 3.2360
```

Record 4
Starting from DFT lattice parameters and positions (GGA+U), the XRD peak list of Mg3Mn3As4O16 was simulated for copper Kα.

Principal peaks in the range 10 to 90 degrees two-theta, by angle:
2θ 23.39, I = 51.0
2θ 23.82, I = 49.5
2θ 26.68, I = 100.0
2θ 29.50, I = 50.8
2θ 34.03, I = 65.9
2θ 35.64, I = 42.6

```
Mg3Mn3As4O16
1.0
8.7138 0.0000 0.0000
0.0000 5.2679 0.0000
-6.2812 0.0000 15.2110
Mg Mn As O
6 6 8 32
Cartesian
0.0000 0.0000 0.0000
-3.1406 2.6339 7.6055
0.9406 0.2720 4.4057
-2.2000 2.3619 12.0112
4.6326 2.9059 3.1998
1.4920 4.9958 10.8053
-0.6507 2.6503 5.6975
-3.7913 5.2515 13.3030
1.2163 0.0000 7.6055
4.3569 2.6339 0.0000
6.2239 0.0163 1.9080
3.0833 2.6176 9.5135
-3.7870 0.0931 9.8444
-0.6464 2.5408 2.2389
2.9593 0.0209 1.6345
-0.1813 2.6130 9.2400
2.6139 2.6549 5.9710
-0.5268 5.2469 13.5765
3.0789 2.7271 12.9721
6.2195 5.1747 5.3666
-3.7558 3.6555 9.5710
-0.6152 4.2463 1.9654
-2.9589 0.9856 8.6936
0.1817 1.6483 1.0881
-3.9205 3.1547 12.9247
-0.7799 4.7470 5.3192
-3.1315 0.5767 11.3798
0.0091 2.0573 3.7743
-1.0562 2.8750 7.7918
2.0844 5.0268 0.1863
-0.9607 3.0494 10.6600
2.1799 4.8524 3.0544
-1.9124 1.0835 13.7186
1.2283 1.5504 6.1131
-1.2750 3.6897 13.5398
1.8656 4.2121 5.9343
0.5669 1.0558 9.2767
3.7076 1.5782 1.6712
1.2043 3.7174 9.0979
4.3449 4.1844 1.4924
0.2526 0.4155 12.1566
3.3932 2.2184 4.5511
0.3481 0.2410 15.0247
3.4887 2.3929 7.4192
2.4234 3.2106 11.4367
5.5640 4.6912 3.8312
3.2124 0.5208 9.8919
6.3530 2.1131 2.2864
2.2509 3.6196 14.1229
5.3915 4.2822 6.5174
3.0477 1.0216 13.2456
6.1883 1.6124 5.6401
```

Record 5
Starting from DFT lattice parameters and positions (GGA+U), the XRD peak list of LiVF4 was simulated for copper Kα.

Principal peaks in the range 10 to 90 degrees two-theta, by angle:
2θ 17.20, I = 100.0
2θ 24.53, I = 98.9
2θ 30.12, I = 82.5
2θ 39.89, I = 32.5
2θ 40.90, I = 59.5
2θ 53.55, I = 45.5

```
LiVF4
1.0
4.6957 0.0000 0.0000
0.0000 5.7159 0.0000
0.0000 0.0000 10.3124
Li V F
4 4 16
Cartesian
0.0000 1.0585 2.5781
0.0000 4.6574 7.7343
2.3479 1.7995 7.7343
2.3479 3.9164 2.5781
0.0000 2.8580 0.0000
0.0000 2.8580 5.1562
2.3479 0.0000 0.0000
2.3479 0.0000 5.1562
1.0015 2.7514 1.6284
1.0015 2.9645 6.7846
1.0703 1.2981 4.3678
1.0703 4.4178 9.5240
1.2775 1.5599 9.5240
1.2775 4.1560 4.3678
1.3464 0.1066 6.7846
1.3464 5.6094 1.6284
3.3493 0.1066 8.6840
3.3493 5.6094 3.5278
3.4182 1.5599 5.9446
3.4182 4.1560 0.7884
3.6254 1.2981 0.7884
3.6254 4.4178 5.9446
3.6942 2.7514 3.5278
3.6942 2.9645 8.6840
```

Record 6
Starting from DFT lattice parameters and positions (GGA+U), the XRD peak list of LiFeF4 was simulated for copper Kα.

Principal peaks in the range 10 to 90 degrees two-theta, by angle:
2θ 14.75, I = 40.4
2θ 20.50, I = 100.0
2θ 23.08, I = 52.9
2θ 34.55, I = 46.6
2θ 40.01, I = 43.3
2θ 53.08, I = 38.9

```
LiFeF4
1.0
4.6442 0.0000 0.0000
0.0000 12.0114 0.0000
0.0000 0.0000 5.0244
Li Fe F
4 4 16
Cartesian
0.0000 2.1411 1.2561
0.0000 9.8703 3.7683
2.3221 3.8646 3.7683
2.3221 8.1468 1.2561
0.0000 5.0911 1.2561
0.0000 6.9202 3.7683
2.3221 0.9146 3.7683
2.3221 11.0968 1.2561
1.0595 5.3767 2.9114
1.0595 6.6347 0.3992
1.0851 3.7836 0.4498
1.0851 8.2278 2.9619
1.2370 2.2221 2.9619
1.2370 9.7893 0.4498
1.2626 0.6290 0.3992
1.2626 11.3824 2.9114
3.3816 0.6290 2.1129
3.3816 11.3824 4.6251
3.4072 2.2221 4.5746
3.4072 9.7893 2.0624
3.5590 3.7836 2.0624
3.5590 8.2278 4.5746
3.5846 5.3767 4.6251
3.5846 6.6347 2.1129
```

What did the fifth record say?
Starting from DFT lattice parameters and positions (GGA+U), the XRD peak list of LiVF4 was simulated for copper Kα.

Principal peaks in the range 10 to 90 degrees two-theta, by angle:
2θ 17.20, I = 100.0
2θ 24.53, I = 98.9
2θ 30.12, I = 82.5
2θ 39.89, I = 32.5
2θ 40.90, I = 59.5
2θ 53.55, I = 45.5

```
LiVF4
1.0
4.6957 0.0000 0.0000
0.0000 5.7159 0.0000
0.0000 0.0000 10.3124
Li V F
4 4 16
Cartesian
0.0000 1.0585 2.5781
0.0000 4.6574 7.7343
2.3479 1.7995 7.7343
2.3479 3.9164 2.5781
0.0000 2.8580 0.0000
0.0000 2.8580 5.1562
2.3479 0.0000 0.0000
2.3479 0.0000 5.1562
1.0015 2.7514 1.6284
1.0015 2.9645 6.7846
1.0703 1.2981 4.3678
1.0703 4.4178 9.5240
1.2775 1.5599 9.5240
1.2775 4.1560 4.3678
1.3464 0.1066 6.7846
1.3464 5.6094 1.6284
3.3493 0.1066 8.6840
3.3493 5.6094 3.5278
3.4182 1.5599 5.9446
3.4182 4.1560 0.7884
3.6254 1.2981 0.7884
3.6254 4.4178 5.9446
3.6942 2.7514 3.5278
3.6942 2.9645 8.6840
```